[1]
For Si3H, a crystal structure in the Materials Project, relaxed with PBE gives the calculated PXRD pattern in this record (Cu Ka).

Structure:
abc: 3.862 3.862 11.302
angles: 90.00 90.00 120.00
Sites, in units of the cell vectors:
Si 0.333 0.667 0.035
Si 0.333 0.667 0.247
Si 0.333 0.667 0.685
Si 0.667 0.333 0.315
Si 0.667 0.333 0.753
Si 0.667 0.333 0.965
H 0.333 0.667 0.553
H 0.667 0.333 0.447

Main lines, in order of falling intensity (10 to 80 degrees two-theta):
2θ (°)	I/Imax
26.65	100
47.06	74
31.07	70
48.62	58
23.62	53
15.68	30
53.31	30
35.91	25

=====

[2]
For CuP2O6, a crystal structure in the Materials Project, relaxed with PBE gives the calculated PXRD pattern in this record (Cu Ka).

Structure:
abc: 6.837 6.837 4.946
angles: 105.37 105.37 84.50
Sites, in units of the cell vectors:
Cu 0.127 0.873 0.750
Cu 0.873 0.127 0.250
P 0.197 0.379 0.744
P 0.379 0.197 0.244
P 0.621 0.803 0.756
P 0.803 0.621 0.256
O 0.044 0.210 0.635
O 0.127 0.594 0.835
O 0.210 0.044 0.135
O 0.324 0.367 0.509
O 0.367 0.324 0.009
O 0.406 0.873 0.665
O 0.594 0.127 0.335
O 0.633 0.676 0.991
O 0.676 0.633 0.491
O 0.790 0.956 0.865
O 0.873 0.406 0.165
O 0.956 0.790 0.365

Main lines, in order of falling intensity (10 to 80 degrees two-theta):
2θ (°)	I/Imax
29.10	100
20.54	60
29.98	48
13.44	39
26.18	33
37.27	32
43.96	17
39.00	17

=====

[3]
For Nd2HfS5, a crystal structure in the Materials Project, relaxed with PBE gives the calculated PXRD pattern in this record (Cu Ka).

Structure:
abc: 11.693 7.964 7.397
angles: 90.00 90.00 90.00
Sites, in units of the cell vectors:
Nd 0.177 0.002 0.028
Nd 0.177 0.498 0.028
Nd 0.323 0.502 0.528
Nd 0.323 0.998 0.528
Nd 0.677 0.002 0.472
Nd 0.677 0.498 0.472
Nd 0.823 0.502 0.972
Nd 0.823 0.998 0.972
Hf 0.007 0.750 0.574
Hf 0.493 0.250 0.074
Hf 0.507 0.750 0.926
Hf 0.993 0.250 0.426
S 0.005 0.750 0.940
S 0.088 0.035 0.661
S 0.088 0.465 0.661
S 0.181 0.750 0.339
S 0.204 0.250 0.317
S 0.296 0.750 0.817
S 0.319 0.250 0.839
S 0.412 0.535 0.161
S 0.412 0.965 0.161
S 0.495 0.250 0.440
S 0.505 0.750 0.560
S 0.588 0.035 0.839
S 0.588 0.465 0.839
S 0.681 0.750 0.161
S 0.704 0.250 0.183
S 0.796 0.750 0.683
S 0.819 0.250 0.661
S 0.912 0.535 0.339
S 0.912 0.965 0.339
S 0.995 0.250 0.060

Main lines, in order of falling intensity (10 to 80 degrees two-theta):
2θ (°)	I/Imax
25.84	100
26.54	74
36.55	66
27.09	61
46.67	60
53.10	53
24.06	48
45.58	38

=====

[4]
For KCo2S2, a crystal structure in the Materials Project, relaxed with PBE gives the calculated PXRD pattern in this record (Cu Ka).

Structure:
abc: 3.745 3.745 12.721
angles: 90.00 90.00 90.00
Sites, in units of the cell vectors:
K 0.000 0.000 0.000
K 0.500 0.500 0.500
Co 0.000 0.500 0.250
Co 0.000 0.500 0.750
Co 0.500 0.000 0.250
Co 0.500 0.000 0.750
S 0.000 0.000 0.344
S 0.000 0.000 0.656
S 0.500 0.500 0.156
S 0.500 0.500 0.844

Main lines, in order of falling intensity (10 to 80 degrees two-theta):
2θ (°)	I/Imax
13.92	100
36.77	58
31.88	50
55.53	41
48.63	33
44.52	29
28.06	21
59.33	14

=====

[5]
For BaH2I2O7, a crystal structure in the Materials Project, relaxed with PBE gives the calculated PXRD pattern in this record (Cu Ka).

Structure:
abc: 7.904 7.904 9.151
angles: 124.55 124.55 62.67
Sites, in units of the cell vectors:
Ba 0.141 0.859 0.750
Ba 0.859 0.141 0.250
H 0.227 0.708 0.138
H 0.292 0.773 0.362
H 0.708 0.227 0.638
H 0.773 0.292 0.862
I 0.284 0.346 0.307
I 0.346 0.284 0.807
I 0.654 0.716 0.193
I 0.716 0.654 0.693
O 0.097 0.200 0.634
O 0.191 0.809 0.250
O 0.200 0.097 0.134
O 0.224 0.407 0.500
O 0.258 0.572 0.913
O 0.407 0.224 0.000
O 0.428 0.742 0.587
O 0.572 0.258 0.413
O 0.593 0.776 0.000
O 0.742 0.428 0.087
O 0.776 0.593 0.500
O 0.800 0.903 0.866
O 0.809 0.191 0.750
O 0.903 0.800 0.366

Main lines, in order of falling intensity (10 to 80 degrees two-theta):
2θ (°)	I/Imax
28.66	100
29.21	71
26.53	56
26.04	53
27.99	53
24.08	52
14.48	48
21.62	48

=====

[6]
For Sm4U2O11, a crystal structure in the Materials Project, relaxed with PBE gives the calculated PXRD pattern in this record (Cu Ka).

Structure:
abc: 6.791 6.791 7.600
angles: 106.06 106.06 47.72
Sites, in units of the cell vectors:
Sm 0.001 0.001 0.239
Sm 0.369 0.272 0.413
Sm 0.728 0.631 0.587
Sm 0.999 0.999 0.761
U 0.349 0.331 0.926
U 0.669 0.651 0.074
O 0.114 0.575 0.661
O 0.151 0.553 0.175
O 0.278 0.722 0.000
O 0.425 0.886 0.339
O 0.447 0.849 0.825
O 0.580 0.077 0.697
O 0.606 0.030 0.141
O 0.743 0.257 0.000
O 0.773 0.227 0.500
O 0.923 0.420 0.303
O 0.970 0.394 0.859

Main lines, in order of falling intensity (10 to 80 degrees two-theta):
2θ (°)	I/Imax
27.83	100
28.56	94
46.86	61
32.63	44
32.78	23
45.99	16
56.36	16
47.88	15

=====

[7]
For NaNbCu2S4, a crystal structure in the Materials Project, relaxed with PBE gives the calculated PXRD pattern in this record (Cu Ka).

Structure:
abc: 7.673 9.670 9.670
angles: 146.37 90.00 90.00
Sites, in units of the cell vectors:
Na 0.250 0.170 0.830
Na 0.750 0.830 0.170
Nb 0.250 0.834 0.054
Nb 0.750 0.054 0.834
Cu 0.000 0.928 0.928
Cu 0.250 0.338 0.546
Cu 0.500 0.928 0.928
Cu 0.750 0.546 0.338
S 0.007 0.592 0.800
S 0.250 0.172 0.180
S 0.250 0.994 0.407
S 0.493 0.592 0.800
S 0.507 0.800 0.592
S 0.750 0.180 0.172
S 0.750 0.407 0.994
S 0.993 0.800 0.592

Main lines, in order of falling intensity (10 to 80 degrees two-theta):
2θ (°)	I/Imax
15.00	100
44.61	48
16.55	33
28.62	20
50.02	17
28.92	16
49.24	15
31.78	14

=====

[8]
For DyAl, a crystal structure in the Materials Project, relaxed with PBE gives the calculated PXRD pattern in this record (Cu Ka).

Structure:
abc: 5.852 11.439 5.632
angles: 90.00 90.00 90.00
Sites, in units of the cell vectors:
Dy 0.099 0.168 0.250
Dy 0.099 0.332 0.750
Dy 0.336 0.018 0.750
Dy 0.336 0.482 0.250
Dy 0.664 0.518 0.750
Dy 0.664 0.982 0.250
Dy 0.901 0.668 0.250
Dy 0.901 0.832 0.750
Al 0.163 0.599 0.750
Al 0.163 0.901 0.250
Al 0.432 0.750 0.000
Al 0.432 0.750 0.500
Al 0.568 0.250 0.000
Al 0.568 0.250 0.500
Al 0.837 0.099 0.750
Al 0.837 0.401 0.250

Main lines, in order of falling intensity (10 to 80 degrees two-theta):
2θ (°)	I/Imax
32.21	100
35.44	86
31.78	50
26.94	40
35.20	39
38.82	37
21.73	35
34.92	22